Entry 1:
This entry pairs a crystal structure of Cs3Ce2PuTe6 with its simulated X-ray diffraction stick pattern. Radiation: Cu Kα, 1.54184 Å. Structure: a crystal structure in Alexandria, relaxed with GGA-PBE.

Most intense lines, 2θ = 10–90°, low angle first:
| 2theta | d (Å) | I (rel.) |
| --- | --- | --- |
| 25.63 | 3.476 | 100 |
| 32.17 | 2.782 | 11 |
| 34.78 | 2.579 | 32 |
| 38.27 | 2.352 | 39 |
| 43.47 | 2.082 | 10 |
| 46.63 | 1.948 | 20 |
| 52.66 | 1.738 | 10 |
| 57.02 | 1.615 | 9 |
| 61.85 | 1.500 | 17 |
| 66.95 | 1.398 | 10 |

Atomic structure:
Unit cell a=8.1473 b=8.1473 c=9.2928 alpha=98.40 beta=98.40 gamma=120.00
Fractional coordinates of all 12 atoms:
Cs: 0.0000 0.0000 0.0000
Cs: 0.3334 0.6666 0.0000
Cs: 0.6666 0.3334 0.0000
Ce: 0.1667 0.8333 0.5000
Ce: 0.8333 0.1667 0.5000
Pu: 0.5000 0.5000 0.5000
Te: 0.1015 0.4360 0.3080
Te: 0.2296 0.2296 0.6920
Te: 0.4360 0.1015 0.3080
Te: 0.5640 0.8985 0.6920
Te: 0.7704 0.7704 0.3080
Te: 0.8985 0.5640 0.6920

=====

Entry 2:
This entry pairs a crystal structure of Cs4Ce3RhSe8 with its simulated X-ray diffraction stick pattern. Radiation: Cu Kα, 1.54184 Å. Structure: a crystal structure in Alexandria, relaxed with GGA-PBE.

Most intense lines, 2θ = 10–90°, low angle first:
| 2theta | d (Å) | I (rel.) |
| --- | --- | --- |
| 10.60 | 8.344 | 14 |
| 21.30 | 4.172 | 16 |
| 27.57 | 3.235 | 57 |
| 28.08 | 3.177 | 100 |
| 37.57 | 2.394 | 49 |
| 41.83 | 2.160 | 38 |
| 42.63 | 2.121 | 18 |
| 43.75 | 2.069 | 12 |
| 51.52 | 1.774 | 19 |
| 57.17 | 1.611 | 14 |

Atomic structure:
Unit cell a=8.6402 b=8.6402 c=9.7063 alpha=116.43 beta=116.43 gamma=58.81
Fractional coordinates of all 16 atoms:
Cs: 0.0000 0.0000 0.0000
Cs: 0.0000 0.5000 0.0000
Cs: 0.5000 0.0000 0.0000
Cs: 0.5000 0.5000 0.0000
Ce: 0.0000 0.0000 0.5000
Ce: 0.0000 0.5000 0.5000
Ce: 0.5000 0.0000 0.5000
Rh: 0.5000 0.5000 0.5000
Se: 0.2291 0.2291 0.6921
Se: 0.2543 0.7070 0.6718
Se: 0.2643 0.2643 0.3068
Se: 0.2930 0.7457 0.3282
Se: 0.7070 0.2543 0.6718
Se: 0.7357 0.7357 0.6932
Se: 0.7457 0.2930 0.3282
Se: 0.7709 0.7709 0.3079

=====

Entry 3:
This entry pairs a crystal structure of CsCeS14 with its simulated X-ray diffraction stick pattern. Radiation: Cu Kα, 1.54184 Å. Structure: a crystal structure in Alexandria, relaxed with GGA-PBE.

Most intense lines, 2θ = 10–90°, low angle first:
| 2theta | d (Å) | I (rel.) |
| --- | --- | --- |
| 13.20 | 6.708 | 67 |
| 19.31 | 4.596 | 100 |
| 20.79 | 4.273 | 33 |
| 24.27 | 3.667 | 42 |
| 26.05 | 3.421 | 68 |
| 27.18 | 3.281 | 66 |
| 32.97 | 2.717 | 37 |
| 34.14 | 2.626 | 48 |
| 34.52 | 2.599 | 54 |
| 40.58 | 2.223 | 43 |

Atomic structure:
Unit cell a=11.1569 b=11.1569 c=11.1569 alpha=124.47 beta=99.03 gamma=106.08
Fractional coordinates of all 32 atoms:
Cs: 0.3817 0.1317 0.2500
Cs: 0.6183 0.8683 0.7500
Ce: 0.0000 0.0000 0.5000
Ce: 0.0000 0.5000 0.0000
S: 0.0021 0.3320 0.1330
S: 0.0021 0.8692 0.6701
S: 0.0068 0.1035 0.9033
S: 0.1050 0.2498 0.8552
S: 0.1054 0.7502 0.3552
S: 0.1976 0.4698 0.3075
S: 0.1976 0.8901 0.7277
S: 0.3000 0.6177 0.6823
S: 0.2999 0.8965 0.4033
S: 0.3009 0.1308 0.6330
S: 0.3009 0.6680 0.1701
S: 0.3376 0.1099 0.8075
S: 0.3376 0.5302 0.2277
S: 0.4355 0.6177 0.8177
S: 0.5645 0.3823 0.1823
S: 0.6624 0.4698 0.7723
S: 0.6624 0.8901 0.1925
S: 0.6991 0.3320 0.8299
S: 0.6991 0.8692 0.3670
S: 0.7001 0.1035 0.5967
S: 0.7000 0.3823 0.3177
S: 0.8024 0.1099 0.2723
S: 0.8024 0.5302 0.6925
S: 0.8946 0.2498 0.6448
S: 0.8950 0.7502 0.1448
S: 0.9932 0.8965 0.0967
S: 0.9979 0.1308 0.3299
S: 0.9979 0.6680 0.8670